Simulated powder diffractogram of Na2VTe4 for Cu Kα (λ = 1.5418 Å), from a structure optimized by DFT (GGA-PBE).
No peak broadening, texture or thermal motion is included.

abc: 8.680 8.680 8.680
angles: 143.99 143.99 51.84
Atoms (fractional coordinates):
Na  0.133  0.133  0.000
Na  0.867  0.867  0.000
V  0.500  0.500  0.000
Te  0.000  0.500  0.500
Te  0.329  0.329  0.000
Te  0.500  0.000  0.500
Te  0.671  0.671  0.000

The 6 most intense peaks (2θ = 10–90°), by angle:
11.3 deg, I = 40
17.5 deg, I = 44
26.1 deg, I = 100
32.9 deg, I = 58
33.4 deg, I = 82
48.8 deg, I = 49



Simulated powder diffractogram of KNaSnF6 for Cu Kα (λ = 1.5418 Å), from a structure optimized by DFT (GGA-PBE).
No peak broadening, texture or thermal motion is included.

abc: 12.045 6.078 8.282
angles: 90.00 90.00 90.00
Atoms (fractional coordinates):
K  0.044  0.037  0.000
K  0.456  0.537  0.500
K  0.544  0.463  0.000
K  0.956  0.963  0.500
Na  0.148  0.554  0.246
Na  0.352  0.054  0.746
Na  0.648  0.946  0.246
Na  0.852  0.446  0.746
Sn  0.136  0.550  0.743
Sn  0.364  0.050  0.243
Sn  0.636  0.950  0.743
Sn  0.864  0.450  0.243
F  0.009  0.289  0.281
F  0.042  0.281  0.702
F  0.126  0.651  0.514
F  0.142  0.452  0.975
F  0.210  0.832  0.807
F  0.220  0.898  0.196
F  0.280  0.398  0.696
F  0.290  0.332  0.307
F  0.358  0.952  0.475
F  0.374  0.151  0.014
F  0.458  0.781  0.202
F  0.491  0.789  0.781
F  0.509  0.211  0.281
F  0.542  0.219  0.702
F  0.626  0.849  0.514
F  0.642  0.048  0.975
F  0.710  0.668  0.807
F  0.720  0.602  0.196
F  0.780  0.102  0.696
F  0.790  0.168  0.307
F  0.858  0.548  0.475
F  0.874  0.349  0.014
F  0.958  0.719  0.202
F  0.991  0.711  0.781

The 6 most intense peaks (2θ = 10–90°), by angle:
16.3 deg, I = 55
18.2 deg, I = 100
19.6 deg, I = 86
21.5 deg, I = 47
26.6 deg, I = 71
27.1 deg, I = 76